Entry 1:
For HgGeSe2, a PBE-relaxed structure gives the calculated XRD peak list in this record (Cu Kα (λ = 1.5418 Å)).

Crystal structure
a b c (Å): 4.0242 4.0242 20.7264
angles (deg): 90.00 90.00 120.00
Element x y z (fractional)
Hg (0.0000, 0.9548, 0.3333)
Hg (0.0452, 0.0452, 0.0000)
Hg (0.9548, 0.0000, 0.6667)
Ge (0.0000, 0.1358, 0.8333)
Ge (0.1358, 0.0000, 0.1667)
Ge (0.8642, 0.8642, 0.5000)
Se (0.2337, 0.5709, 0.4223)
Se (0.3372, 0.7663, 0.7556)
Se (0.4291, 0.6628, 0.0890)
Se (0.5709, 0.2337, 0.5777)
Se (0.6628, 0.4291, 0.9110)
Se (0.7663, 0.3372, 0.2444)

Largest 12 diffraction maxima, by angle, 5 to 70 degrees two-theta:
two_theta, Rel. int.
12.81, 20.5
25.56, 40.0
28.69, 64.2
33.60, 11.8
36.63, 100.0
45.06, 27.4
45.28, 15.5
47.04, 10.1
47.31, 12.4
53.02, 9.8
54.29, 10.5
59.41, 13.7

---

Entry 2:
For Ag7Pd2, a PBE-relaxed structure gives the calculated XRD peak list in this record (Cu Kα (λ = 1.5418 Å)).

Crystal structure
a b c (Å): 7.9704 7.9704 2.8570
angles (deg): 90.00 90.00 120.00
Element x y z (fractional)
Ag (0.0000, 0.0000, 0.0000)
Ag (0.0000, 0.3090, 0.5000)
Ag (0.0000, 0.6375, 0.0000)
Ag (0.3090, 0.0000, 0.5000)
Ag (0.3625, 0.3625, 0.0000)
Ag (0.6375, 0.0000, 0.0000)
Ag (0.6910, 0.6910, 0.5000)
Pd (0.3333, 0.6667, 0.5000)
Pd (0.6667, 0.3333, 0.5000)

Largest 12 diffraction maxima, by angle, 5 to 70 degrees two-theta:
two_theta, Rel. int.
33.96, 8.1
34.37, 8.6
38.78, 76.3
39.15, 100.0
41.01, 24.1
47.18, 15.9
47.49, 3.5
50.96, 1.4
56.29, 20.5
58.26, 1.5
65.32, 7.7
67.64, 15.7

---

Entry 3:
For Tb6SmY6, a PBE-relaxed structure gives the calculated XRD peak list in this record (Cu Kα (λ = 1.5418 Å)).

Crystal structure
a b c (Å): 6.6347 6.6347 10.9845
angles (deg): 90.00 90.00 115.21
Element x y z (fractional)
Tb (0.0000, 0.0000, 0.1688)
Tb (0.0000, 0.0000, 0.8312)
Tb (0.2536, 0.7464, 0.0000)
Tb (0.3589, 0.6411, 0.5000)
Tb (0.6411, 0.3589, 0.5000)
Tb (0.7464, 0.2536, 0.0000)
Sm (0.0000, 0.0000, 0.5000)
Y (0.0000, 0.5000, 0.2762)
Y (0.0000, 0.5000, 0.7238)
Y (0.5000, 0.0000, 0.2762)
Y (0.5000, 0.0000, 0.7238)
Y (0.5000, 0.5000, 0.1899)
Y (0.5000, 0.5000, 0.8101)

Largest 12 diffraction maxima, by angle, 5 to 70 degrees two-theta:
two_theta, Rel. int.
25.05, 54.5
26.97, 37.0
29.14, 100.0
29.77, 34.3
29.94, 57.4
31.95, 37.9
32.61, 29.3
34.04, 90.3
35.19, 35.0
36.62, 30.6
38.80, 42.2
41.88, 36.3

---

Entry 4:
For NbBi7O13, a PBE-relaxed structure gives the calculated XRD peak list in this record (Cu Kα (λ = 1.5418 Å)).

Crystal structure
a b c (Å): 3.6809 4.3375 22.9339
angles (deg): 92.77 92.58 90.80
Element x y z (fractional)
Nb (0.0000, 0.0000, 0.0000)
Bi (0.1765, 0.6242, 0.3654)
Bi (0.2232, 0.6732, 0.6133)
Bi (0.2981, 0.6386, 0.8853)
Bi (0.4620, 0.4819, 0.1244)
Bi (0.6884, 0.0777, 0.4749)
Bi (0.7654, 0.0141, 0.7437)
Bi (0.9517, 0.9902, 0.2333)
O (0.1724, 0.0863, 0.4106)
O (0.2049, 0.9186, 0.5358)
O (0.2543, 0.7547, 0.7198)
O (0.2550, 0.1218, 0.9315)
O (0.4282, 0.8622, 0.0347)
O (0.4853, 0.0167, 0.1694)
O (0.6004, 0.7942, 0.3018)
O (0.6638, 0.6152, 0.4310)
O (0.7347, 0.9290, 0.6393)
O (0.7836, 0.7813, 0.8237)
O (0.8137, 0.6436, 0.9473)
O (0.9265, 0.3259, 0.0568)
O (0.9719, 0.5329, 0.1882)

Largest 12 diffraction maxima, by angle, 5 to 70 degrees two-theta:
two_theta, Rel. int.
25.16, 100.0
26.41, 99.4
27.41, 26.4
28.25, 54.0
29.47, 37.4
31.27, 46.2
31.91, 44.0
32.19, 48.4
41.70, 19.7
43.88, 29.7
49.57, 23.0
51.43, 21.1

---

Entry 5:
For PmIn2Rh4, a PBE-relaxed structure gives the calculated XRD peak list in this record (Cu Kα (λ = 1.5418 Å)).

Crystal structure
a b c (Å): 5.6025 5.6025 5.6025
angles (deg): 108.41 108.41 111.61
Element x y z (fractional)
Pm (0.0000, 0.0000, 0.0000)
In (0.0000, 0.5000, 0.5000)
In (0.5000, 0.0000, 0.5000)
Rh (0.0000, 0.0000, 0.5000)
Rh (0.0000, 0.5000, 0.0000)
Rh (0.5000, 0.0000, 0.0000)
Rh (0.5000, 0.5000, 0.5000)

Largest 12 diffraction maxima, by angle, 5 to 70 degrees two-theta:
two_theta, Rel. int.
19.15, 3.8
19.55, 20.5
33.73, 10.5
38.87, 53.1
39.70, 100.0
43.87, 2.5
45.37, 2.3
52.39, 3.0
53.71, 2.8
56.14, 17.8
58.64, 7.8
60.03, 2.0

---

Entry 6:
For Cu3PbI, a PBE-relaxed structure gives the calculated XRD peak list in this record (Cu Kα (λ = 1.5418 Å)).

Crystal structure
a b c (Å): 5.0864 5.0864 5.0864
angles (deg): 90.00 90.00 90.00
Element x y z (fractional)
Cu (0.0000, 0.0000, 0.5000)
Cu (0.0000, 0.5000, 0.0000)
Cu (0.5000, 0.0000, 0.0000)
Pb (0.0000, 0.0000, 0.0000)
I (0.5000, 0.5000, 0.5000)

Largest 12 diffraction maxima, by angle, 5 to 70 degrees two-theta:
two_theta, Rel. int.
17.44, 35.3
24.75, 100.0
30.44, 10.1
35.29, 86.8
39.62, 19.7
43.59, 45.7
50.77, 60.7
54.09, 10.1
57.28, 20.9
63.34, 20.5
66.25, 4.4
69.10, 24.4

---

Entry 7:
For KAl3Ge, a PBE-relaxed structure gives the calculated XRD peak list in this record (Cu Kα (λ = 1.5418 Å)).

Crystal structure
a b c (Å): 5.2161 5.2161 5.2161
angles (deg): 90.00 90.00 90.00
Element x y z (fractional)
K (0.0000, 0.0000, 0.0000)
Al (0.0000, 0.5000, 0.5000)
Al (0.5000, 0.0000, 0.5000)
Al (0.5000, 0.5000, 0.0000)
Ge (0.5000, 0.5000, 0.5000)

Largest 12 diffraction maxima, by angle, 5 to 70 degrees two-theta:
two_theta, Rel. int.
17.00, 54.0
24.13, 100.0
29.66, 11.3
34.39, 96.5
38.60, 28.1
42.45, 42.4
49.42, 65.8
52.64, 14.9
55.73, 18.0
61.59, 22.1
64.40, 6.7
67.15, 19.7